Record 1
Starting from the GGA-PBE geometry in Alexandria, the PXRD pattern of DyRe2O8 was computed for λ = 1.5418 Å (Cu Kα).
Lines closer than 0.1° are merged.

Cell and atoms:
Cell lengths 9.558, 9.558, 9.558 Å; angles 90.00, 90.00, 90.00 degrees
Space group Fm-3m (No. 225)
One atom of each set of equivalent atoms:
Dy: 0.000 0.000 0.000
Re: 0.250 0.250 0.250
O: 0.143 0.143 0.143

Top 10 peaks for 2θ = 10–90°, most intense first:
26.37 deg, I = 100; 46.55 deg, I = 42; 16.06 deg, I = 29; 18.57 deg, I = 23; 74.25 deg, I = 23; 54.29 deg, I = 18; 61.34 deg, I = 18; 86.37 deg, I = 12; 37.64 deg, I = 12; 41.17 deg, I = 11


Record 2
Starting from the GGA-PBE geometry in Alexandria, the PXRD pattern of Cr2TeCl was computed for λ = 1.5418 Å (Cu Kα).
Lines closer than 0.1° are merged.

Cell and atoms:
Cell lengths 4.052, 5.486, 4.114 Å; angles 90.00, 90.07, 90.00 degrees
Space group Pm (No. 6)
One atom of each set of equivalent atoms:
Cr: 0.000 0.000 0.000
Cr: 0.380 0.500 0.501
Te: 0.502 0.000 0.500
Cl: 0.987 0.500 0.000

Top 10 peaks for 2θ = 10–90°, most intense first:
30.98 deg, I = 100; 45.62 deg, I = 64; 32.64 deg, I = 47; 35.12 deg, I = 27; 16.16 deg, I = 27; 44.02 deg, I = 20; 55.86 deg, I = 19; 21.60 deg, I = 14; 44.73 deg, I = 13; 56.46 deg, I = 13